This entry pairs a crystal structure of MgTe4MoW3S4 with its calculated XRD peak list. Radiation: Cu Kα (λ = 1.5418 Å). Structure: a cell relaxed with GGA-PBE.

Largest 10 diffraction maxima, low angle first, 10° ≤ 2θ ≤ 80°:
2θ = 10.44°, d = 8.470 Å, I = 100
2θ = 12.54°, d = 7.058 Å, I = 17
2θ = 30.60°, d = 2.922 Å, I = 27
2θ = 30.89°, d = 2.895 Å, I = 9
2θ = 32.41°, d = 2.763 Å, I = 13
2θ = 35.07°, d = 2.559 Å, I = 51
2θ = 37.38°, d = 2.405 Å, I = 24
2θ = 41.51°, d = 2.175 Å, I = 41
2θ = 54.37°, d = 1.687 Å, I = 18
2θ = 55.53°, d = 1.655 Å, I = 9

Structure:
```
MgTe4MoW3S4
1.0
2.923 -1.687 0.000
2.923 1.687 0.000
-0.061 0.000 42.350
Mg Te Mo W S
1 4 1 3 4
direct
0.000 0.000 0.000
0.001 0.001 0.232
0.002 0.002 0.322
0.668 0.668 0.669
0.669 0.669 0.758
0.000 0.000 0.095
0.001 0.001 0.713
0.667 0.667 0.898
0.668 0.668 0.277
0.000 0.000 0.862
0.001 0.001 0.934
0.667 0.667 0.059
0.668 0.668 0.130
```